PmBi8Au2: calculated powder diffraction line list (Cu Kα (weighted mean of Kα1 and Kα2)), based on a structure optimized by DFT (GGA-PBE).

Crystal structure
a b c (Å): 18.795 8.380 4.459
angles (deg): 90.00 90.50 90.00
Space group C2/m (No. 12)
Symmetry-distinct sites (fractional):
1 Pm 0.000 0.000 0.000 [2 per cell]
2 Bi 0.081 0.500 0.996 [4 per cell]
3 Bi 0.108 0.213 0.500 [8 per cell]
4 Bi 0.234 0.500 0.494 [4 per cell]
5 Au 0.170 0.000 0.002 [4 per cell]

Principal peaks in the range 10 to 80 degrees two-theta, in order of rising 2θ:
index, 2θ (°), I/Imax
4 0 0, 18.9, 26
4 2 0, 28.5, 56
0 2 1, 29.2, 91
5 1 -1, 32.8, 50
5 1 1, 33.1, 51
4 2 -1, 34.9, 74
4 2 1, 35.1, 100
0 0 2, 40.5, 60
0 4 0, 43.2, 34
0 4 2, 60.7, 26

---

CaAc2Cd2Sn2: calculated powder diffraction line list (Cu Kα (weighted mean of Kα1 and Kα2)), based on a structure optimized by DFT (GGA-PBE).

Crystal structure
a b c (Å): 4.9304 4.9304 32.9409
angles (deg): 90.00 90.00 120.00
Space group R-3m (No. 166, hexagonal axes)
Symmetry-distinct sites (fractional):
1 Ca 0.0000 0.0000 0.0000 [3 per cell]
2 Ac 0.0000 0.0000 0.1216 [6 per cell]
3 Cd 0.0000 0.0000 0.3816 [6 per cell]
4 Sn 0.0000 0.0000 0.2721 [6 per cell]

Principal peaks in the range 10 to 80 degrees two-theta, in order of rising 2θ:
index, 2θ (°), I/Imax
1 0 4, 23.5, 50
0 1 5, 24.8, 17
1 0 7, 28.2, 29
0 1 8, 30.2, 100
0 0 12, 32.6, 16
1 1 0, 36.4, 86
2 0 8, 48.0, 28
1 1 12, 49.7, 29
1 2 8, 61.7, 26
3 0 0, 65.6, 16

---

La5PrDyHo2: calculated powder diffraction line list (Cu Kα (weighted mean of Kα1 and Kα2)), based on a structure optimized by DFT (GGA-PBE).

Crystal structure
a b c (Å): 5.524 21.757 10.708
angles (deg): 90.00 90.00 90.00
Space group Cmcm (No. 63)
Symmetry-distinct sites (fractional):
1 La 0.000 0.000 0.000 [4 per cell]
2 La 0.000 0.122 0.250 [4 per cell]
3 La 0.000 0.220 0.559 [8 per cell]
4 La 0.000 0.500 0.250 [4 per cell]
5 Pr 0.000 0.285 0.250 [4 per cell]
6 Dy 0.000 0.100 0.750 [4 per cell]
7 Ho 0.000 0.387 0.001 [8 per cell]

Principal peaks in the range 10 to 80 degrees two-theta, in order of rising 2θ:
index, 2θ (°), I/Imax
1 3 2, 26.2, 19
1 1 3, 30.1, 12
1 5 2, 31.0, 100
1 3 3, 32.3, 10
2 0 0, 32.4, 30
0 0 4, 33.5, 18
2 0 4, 47.3, 14
3 5 2, 57.0, 19
1 5 6, 58.3, 10
1 13 2, 60.3, 12

---

Ac2IBrN: calculated powder diffraction line list (Cu Kα (weighted mean of Kα1 and Kα2)), based on a structure optimized by DFT (GGA-PBE).

Crystal structure
a b c (Å): 17.987 4.265 11.683
angles (deg): 90.00 128.25 90.00
Space group C2/m (No. 12)
Symmetry-distinct sites (fractional):
1 Ac 0.087 0.000 0.362 [4 per cell]
2 Ac 0.118 0.500 0.682 [4 per cell]
3 I 0.130 0.000 0.953 [4 per cell]
4 Br 0.213 0.500 0.318 [4 per cell]
5 N 0.049 0.500 0.424 [4 per cell]

Principal peaks in the range 10 to 80 degrees two-theta, in order of rising 2θ:
index, 2θ (°), I/Imax
4 0 0, 25.2, 24
3 1 -2, 26.8, 100
0 0 3, 29.2, 31
1 1 2, 31.8, 21
6 0 -1, 32.9, 17
6 0 -4, 33.6, 61
7 1 -2, 41.8, 17
0 2 0, 42.4, 16
3 1 -5, 45.7, 21
6 2 -4, 55.2, 18

---

HfMgMnSe4: calculated powder diffraction line list (Cu Kα (weighted mean of Kα1 and Kα2)), based on a structure optimized by DFT (GGA-PBE).

Crystal structure
a b c (Å): 7.809 7.836 11.390
angles (deg): 90.00 90.00 90.00
Space group Imma (No. 74)
Symmetry-distinct sites (fractional):
1 Hf 0.000 0.000 0.000 [4 per cell]
2 Mg 0.000 0.250 0.359 [4 per cell]
3 Mn 0.250 0.250 0.750 [4 per cell]
4 Se 0.000 0.022 0.765 [8 per cell]
5 Se 0.238 0.250 0.997 [8 per cell]

Principal peaks in the range 10 to 80 degrees two-theta, in order of rising 2θ:
index, 2θ (°), I/Imax
1 0 1, 13.7, 100
1 0 3, 26.1, 20
1 2 1, 26.6, 46
0 0 4, 31.4, 49
2 2 0, 32.4, 91
3 2 1, 42.4, 25
2 2 4, 45.7, 79
0 4 0, 46.3, 19
4 0 0, 46.5, 20
4 0 4, 57.2, 17

---

CaEu2Ge4O12: calculated powder diffraction line list (Cu Kα (weighted mean of Kα1 and Kα2)), based on a structure optimized by DFT (GGA-PBE).

Crystal structure
a b c (Å): 14.495 14.520 5.193
angles (deg): 90.00 90.00 90.00
Space group Cmme (No. 67)
Symmetry-distinct sites (fractional):
1 Ca 0.250 0.250 0.000 [4 per cell]
2 Eu 0.000 0.000 0.000 [4 per cell]
3 Eu 0.250 0.000 0.000 [4 per cell]
4 Ge 0.113 0.138 0.496 [16 per cell]
5 O 0.000 0.128 0.342 [8 per cell]
6 O 0.116 0.059 0.751 [16 per cell]
7 O 0.121 0.250 0.653 [8 per cell]
8 O 0.192 0.131 0.246 [16 per cell]

Principal peaks in the range 10 to 80 degrees two-theta, in order of rising 2θ:
index, 2θ (°), I/Imax
0 2 0, 12.2, 24
0 2 1, 21.0, 37
4 2 0, 27.5, 14
4 0 1, 30.1, 100
4 4 0, 35.0, 24
4 2 2, 44.7, 11
4 4 2, 50.0, 25
8 0 0, 50.3, 12
4 0 3, 59.1, 14
8 4 1, 59.7, 23

---

K2Li2Re: calculated powder diffraction line list (Cu Kα (weighted mean of Kα1 and Kα2)), based on a structure optimized by DFT (GGA-PBE).

Crystal structure
a b c (Å): 9.764 9.764 2.763
angles (deg): 90.00 90.00 90.00
Space group P4/mbm (No. 127)
Symmetry-distinct sites (fractional):
1 K 0.198 0.302 0.000 [4 per cell]
2 Li 0.099 0.599 0.500 [4 per cell]
3 Re 0.000 0.000 0.000 [2 per cell]

Principal peaks in the range 10 to 80 degrees two-theta, in order of rising 2θ:
index, 2θ (°), I/Imax
1 1 0, 12.8, 100
2 0 0, 18.2, 23
2 2 0, 25.8, 41
3 1 0, 28.9, 47
0 0 1, 32.4, 13
1 1 1, 35.0, 22
2 2 1, 41.9, 22
3 1 1, 44.0, 29
4 2 1, 53.5, 12
5 3 1, 65.1, 14

---

Pm14HoPu: calculated powder diffraction line list (Cu Kα (weighted mean of Kα1 and Kα2)), based on a structure optimized by DFT (GGA-PBE).

Crystal structure
a b c (Å): 7.266 7.266 10.227
angles (deg): 90.00 90.00 90.00
Space group P4/mmm (No. 123)
Symmetry-distinct sites (fractional):
1 Pm 0.000 0.000 0.000 [1 per cell]
2 Pm 0.000 0.500 0.000 [2 per cell]
3 Pm 0.000 0.500 0.500 [2 per cell]
4 Pm 0.249 0.249 0.254 [8 per cell]
5 Pm 0.500 0.500 0.000 [1 per cell]
6 Ho 0.500 0.500 0.500 [1 per cell]
7 Pu 0.000 0.000 0.500 [1 per cell]

Principal peaks in the range 10 to 80 degrees two-theta, in order of rising 2θ:
index, 2θ (°), I/Imax
2 0 2, 30.2, 100
2 2 0, 34.9, 34
0 0 4, 35.1, 17
4 0 0, 50.2, 12
2 2 4, 50.4, 24
4 2 2, 59.7, 29
2 0 6, 59.9, 14
4 0 4, 62.7, 12
4 4 0, 73.8, 4
0 0 8, 74.2, 2